(1)
This entry pairs a crystal structure of LiHo4Ge4 with its calculated powder diffractogram. Radiation: Cu Kα. Structure: a crystal structure in the Materials Project, relaxed with PBE.
Intensities are scaled so that the largest is 100.

Top 10 peaks for 2θ = 15–90°, in order of rising 2θ:
two_theta	Rel. int.	hkl
24.24	24	0 4 0
28.22	25	2 1 1
32.07	76	1 3 2
33.17	100	2 3 1
33.67	47	0 4 2
36.02	39	1 4 2
37.04	25	2 4 1
37.63	22	1 1 3
39.68	45	3 0 1
58.50	27	3 4 3

Structure:
```
36
Lattice="7.1335 0.0000 0.0000 0.0000 14.6863 0.0000 0.0000 0.0000 7.7276" Properties=species:S:1:pos:R:3 pbc="T T T"
Li 1.1317 3.6716 0.2060
Li 2.4351 11.0147 4.0698
Li 4.6984 3.6716 3.6578
Li 6.0018 11.0147 7.5216
Ho 0.1076 8.7752 5.3054
Ho 0.1076 13.2542 5.3054
Ho 1.2212 9.2229 1.3640
Ho 1.2212 12.8065 1.3640
Ho 2.3455 1.8797 5.2279
Ho 2.3455 5.4634 5.2279
Ho 3.4591 1.4321 1.4415
Ho 3.4591 5.9111 1.4415
Ho 3.6743 8.7752 6.2861
Ho 3.6743 13.2542 6.2861
Ho 4.7879 9.2229 2.4998
Ho 4.7879 12.8065 2.4998
Ho 5.9123 1.8797 6.3636
Ho 5.9123 5.4634 6.3636
Ho 7.0259 1.4321 2.4223
Ho 7.0259 5.9111 2.4223
Ge 0.1251 3.6716 4.5289
Ge 1.1930 0.5364 7.4629
Ge 1.1930 6.8068 7.4629
Ge 1.5445 11.0147 6.6748
Ge 2.0222 3.6716 2.8110
Ge 2.3737 7.8795 3.5991
Ge 2.3737 14.1499 3.5991
Ge 3.4417 11.0147 0.6650
Ge 3.6918 3.6716 7.0626
Ge 4.7598 0.5364 4.1286
Ge 4.7598 6.8068 4.1286
Ge 5.1113 11.0147 4.9166
Ge 5.5890 3.6716 1.0528
Ge 5.9404 7.8795 0.2647
Ge 5.9404 14.1499 0.2647
Ge 7.0084 11.0147 3.1988
```

---

(2)
This entry pairs a crystal structure of Ho2Mg3Ge4 with its calculated powder diffractogram. Radiation: Cu Kα. Structure: a crystal structure in the Materials Project, relaxed with PBE.
Intensities are scaled so that the largest is 100.

Top 10 peaks for 2θ = 15–90°, in order of rising 2θ:
two_theta	Rel. int.	hkl
22.00	43	0 3 1
25.48	27	2 0 0
32.67	83	1 3 2
33.92	100	2 3 1
34.38	25	0 4 2
35.96	21	2 4 0
37.59	30	1 0 3
37.79	22	0 6 0
40.49	30	3 0 1
53.32	22	3 0 3

Structure:
```
36
Lattice="6.9875 0.0000 0.0000 0.0000 14.2821 0.0000 0.0000 0.0000 7.6408" Properties=species:S:1:pos:R:3 pbc="T T T"
Ho 0.0299 1.3512 1.4063
Ho 0.0299 5.7898 1.4063
Ho 3.4639 8.4923 5.2267
Ho 3.4639 12.9309 5.2267
Ho 3.5236 1.3512 2.4140
Ho 3.5236 5.7898 2.4140
Ho 6.9576 8.4923 6.2344
Ho 6.9576 12.9309 6.2344
Mg 1.1080 10.7116 3.8679
Mg 1.1973 1.7619 5.1583
Mg 1.1973 5.3791 5.1583
Mg 2.2965 8.9030 1.3379
Mg 2.2965 12.5202 1.3379
Mg 2.3858 3.5705 0.0476
Mg 4.6017 10.7116 7.5932
Mg 4.6910 1.7619 6.3028
Mg 4.6910 5.3791 6.3028
Mg 5.7902 8.9030 2.4825
Mg 5.7902 12.5202 2.4825
Mg 5.8795 3.5705 3.7728
Ge 0.2097 10.7116 0.8160
Ge 1.1854 7.6742 3.5469
Ge 1.1854 13.7490 3.5469
Ge 1.4848 3.5705 2.7752
Ge 2.0089 10.7116 6.5955
Ge 2.3084 0.5332 7.3673
Ge 2.3084 6.6079 7.3673
Ge 3.2841 3.5705 4.6364
Ge 3.7034 10.7116 3.0043
Ge 4.6791 7.6742 0.2734
Ge 4.6791 13.7490 0.2734
Ge 4.9786 3.5705 1.0452
Ge 5.5026 10.7116 4.8656
Ge 5.8021 0.5332 4.0938
Ge 5.8021 6.6079 4.0938
Ge 6.7778 3.5705 6.8247
```